Structure and theoretical X-ray powder pattern of Pm2HoSe3 (a DFT-relaxed cell (PBE, Alexandria); Cu Kα (weighted mean of Kα1 and Kα2)).

Cell and atoms:
Unit cell a=4.1547 b=5.8586 c=12.4645 alpha=90.00 beta=90.00 gamma=90.00
Positions (direct):
1 Pm 0.0000 0.0000 0.1721
2 Pm 0.0000 0.0000 0.8279
3 Pm 0.5000 0.5000 0.3279
4 Pm 0.5000 0.5000 0.6721
5 Ho 0.0000 0.0000 0.5000
6 Ho 0.5000 0.5000 0.0000
7 Se 0.0000 0.5000 0.1582
8 Se 0.0000 0.5000 0.5000
9 Se 0.0000 0.5000 0.8418
10 Se 0.5000 0.0000 0.0000
11 Se 0.5000 0.0000 0.3418
12 Se 0.5000 0.0000 0.6582

Main lines, in order of falling intensity (2θ = 10–80°):
- d 2.935, intensity 1000, (0 2 0)
- d 2.075, intensity 739, (2 0 0)
- d 1.695, intensity 259, (2 2 0)
- d 1.313, intensity 216, (3 0 3)
- d 3.389, intensity 187, (0 1 3)
- d 1.311, intensity 111, (1 4 3)
- d 1.469, intensity 79, (2 0 6)
- d 1.771, intensity 63, (1 1 6)
- d 1.465, intensity 41, (0 4 0)
- d 1.347, intensity 38, (0 1 9)
- d 1.767, intensity 31, (0 3 3)
- d 2.294, intensity 12, (1 1 4)


Structure and theoretical X-ray powder pattern of Ag14Ge2Se9 (a DFT-relaxed cell (PBE, Alexandria); Cu Kα (weighted mean of Kα1 and Kα2)).

Cell and atoms:
Unit cell a=7.5597 b=8.3653 c=10.1159 alpha=87.18 beta=86.69 gamma=65.35
Positions (direct):
1 Ag 0.0292 0.3878 0.2489
2 Ag 0.0343 0.1061 0.0936
3 Ag 0.0578 0.1534 0.5356
4 Ag 0.2052 0.3221 0.9365
5 Ag 0.3159 0.5118 0.1525
6 Ag 0.3231 0.5797 0.5880
7 Ag 0.3689 0.2733 0.4081
8 Ag 0.6311 0.7267 0.5919
9 Ag 0.6769 0.4203 0.4120
10 Ag 0.6841 0.4882 0.8475
11 Ag 0.7948 0.6779 0.0635
12 Ag 0.9422 0.8466 0.4644
13 Ag 0.9657 0.8939 0.9064
14 Ag 0.9708 0.6122 0.7511
15 Ge 0.3739 0.8290 0.1930
16 Ge 0.6261 0.1710 0.8070
17 Se 0.0000 0.5000 0.5000
18 Se 0.0069 0.8148 0.1924
19 Se 0.2989 0.5866 0.8540
20 Se 0.3284 0.8544 0.4450
21 Se 0.3797 0.1461 0.1610
22 Se 0.6203 0.8539 0.8390
23 Se 0.6716 0.1456 0.5550
24 Se 0.7011 0.4134 0.1460
25 Se 0.9931 0.1852 0.8076

Main lines, in order of falling intensity (2θ = 10–80°):
- d 2.290, intensity 1000, (3 0 0)
- d 3.365, intensity 723, (0 0 3)
- d 2.157, intensity 607, (2 1 4)
- d 2.390, intensity 468, (2 3 2)
- d 7.600, intensity 409, (0 1 0)
- d 2.217, intensity 391, (3 3 0)
- d 3.594, intensity 373, (0 2 1)
- d 1.996, intensity 351, (2 0 -4)
- d 2.625, intensity 344, (2 3 0)
- d 3.284, intensity 341, (1 -1 2)
- d 3.078, intensity 313, (0 2 2)
- d 2.401, intensity 308, (1 0 4)